1.
Starting from the GGA-PBE geometry in OQMD, the PXRD pattern of Sm5TlGa2 was simulated for Cu Kα (weighted mean of Kα1 and Kα2).
Peak positions follow from Bragg's law for the DFT cell and can differ from measured ones.

Cell and atoms:
a b c (Å): 9.2645 9.2645 9.2645
angles (deg): 129.75 129.75 73.80
Atoms (fractional coordinates):
1 Sm 0.0000 0.0000 0.0000
2 Sm 0.0251 0.5251 0.8388
3 Sm 0.1863 0.0251 0.5000
4 Sm 0.3137 0.8137 0.8388
5 Sm 0.4749 0.3137 0.5000
6 Sm 0.5000 0.5000 0.0000
7 Sm 0.5251 0.6863 0.5000
8 Sm 0.6863 0.1863 0.1612
9 Sm 0.8137 0.9749 0.5000
10 Sm 0.9749 0.4749 0.1612
11 Tl 0.2500 0.2500 0.0000
12 Tl 0.7500 0.7500 0.0000
13 Ga 0.1209 0.3791 0.5000
14 Ga 0.3791 0.8791 0.2582
15 Ga 0.6209 0.1209 0.7418
16 Ga 0.8791 0.6209 0.5000

Principal peaks in the range 2θ from 10° to 90°, sorted by position:
| Position (°2θ) | I_rel |
| --- | --- |
| 26.03 | 18 |
| 28.96 | 37 |
| 31.21 | 100 |
| 32.18 | 24 |
| 33.22 | 67 |
| 36.10 | 66 |
| 51.33 | 17 |
| 55.41 | 26 |
| 62.52 | 18 |
| 65.54 | 16 |

2.
Starting from the GGA-PBE geometry in OQMD, the PXRD pattern of ErAlGaCo was simulated for Cu Kα (weighted mean of Kα1 and Kα2).
Peak positions follow from Bragg's law for the DFT cell and can differ from measured ones.

Cell and atoms:
a b c (Å): 6.9180 4.0132 9.8799
angles (deg): 90.00 90.00 90.00
Atoms (fractional coordinates):
1 Er 0.0000 0.0000 0.0000
2 Er 0.0000 0.5000 0.5000
3 Er 0.5000 0.0000 0.1279
4 Er 0.5000 0.5000 0.6279
5 Al 0.1947 0.0000 0.7191
6 Al 0.1947 0.5000 0.2191
7 Al 0.8053 0.0000 0.7191
8 Al 0.8053 0.5000 0.2191
9 Ga 0.3028 0.0000 0.4116
10 Ga 0.3028 0.5000 0.9116
11 Ga 0.6972 0.0000 0.4116
12 Ga 0.6972 0.5000 0.9116
13 Co 0.0000 0.0000 0.2737
14 Co 0.0000 0.5000 0.7737
15 Co 0.5000 0.0000 0.8457
16 Co 0.5000 0.5000 0.3457

Principal peaks in the range 2θ from 10° to 90°, sorted by position:
| Position (°2θ) | I_rel |
| --- | --- |
| 23.93 | 39 |
| 25.76 | 28 |
| 35.25 | 16 |
| 35.44 | 100 |
| 37.65 | 84 |
| 38.71 | 48 |
| 43.30 | 19 |
| 45.18 | 35 |
| 53.62 | 23 |
| 60.98 | 25 |